Diffraction record for Y4CdPd. The powder XRD pattern is theoretical, not measured: it uses DFT lattice parameters and positions (PBE) and Cu Kα.
Intensities are scaled so that the largest is 100.

Structure:
```
data_Y4CdPd
_cell_length_a 13.8069
_cell_length_b 13.8069
_cell_length_c 13.8069
_cell_angle_alpha 90.00
_cell_angle_beta 90.00
_cell_angle_gamma 90.00
_space_group_name_H-M_alt 'F -4 3 m'
_space_group_IT_number 216
_space_group_name_Hall 'F -4 2 3'
loop_
_atom_site_label
_atom_site_fract_x
_atom_site_fract_y
_atom_site_fract_z
_atom_site_occupancy
Y1 0.0000 0.0000 0.1833 1
Y2 0.0606 0.2500 0.7500 1
Y3 0.1038 0.1038 0.3962 1
Cd1 0.1680 0.1680 0.1680 1
Pd1 0.1058 0.1058 0.6058 1
```

Most intense lines, 2θ = 15–90°, by intensity:
33.73°, I = 100, hkl 3 3 3
31.75°, I = 37, hkl 4 2 2
56.56°, I = 35, hkl 6 6 0
36.82°, I = 30, hkl 4 4 0
67.50°, I = 15, hkl 9 3 3
57.84°, I = 13, hkl 5 5 5
85.22°, I = 11, hkl 11 5 1
38.58°, I = 10, hkl 5 3 1
87.01°, I = 10, hkl 10 6 4
22.31°, I = 9, hkl 2 2 2
28.17°, I = 8, hkl 3 3 1
70.56°, I = 8, hkl 9 5 1

Diffraction record for Sr9Zn4Cu2O14. The powder XRD pattern is theoretical, not measured: it uses DFT lattice parameters and positions (PBE) and Cu Kα.
Intensities are scaled so that the largest is 100.

Structure:
```
data_Sr9Zn4Cu2O14
_cell_length_a 22.3846
_cell_length_b 3.6486
_cell_length_c 11.4325
_cell_angle_alpha 90.00
_cell_angle_beta 98.59
_cell_angle_gamma 90.00
_space_group_name_H-M_alt 'C 1 2/m 1'
_space_group_IT_number 12
loop_
_space_group_symop_operation_xyz
'x,y,z'
'-x,-y,-z'
'-x,y,-z'
'x,-y,z'
'x+1/2,y+1/2,z'
'-x+1/2,-y+1/2,-z'
'-x+1/2,y+1/2,-z'
'x+1/2,-y+1/2,z'
loop_
_atom_site_label
_atom_site_fract_x
_atom_site_fract_y
_atom_site_fract_z
_atom_site_occupancy
Sr1 0.0000 0.0000 0.0000 1
Sr2 0.0095 0.0000 0.3076 1
Sr3 0.1865 0.0000 0.7251 1
Sr4 0.1872 0.0000 0.3978 1
Sr5 0.1936 0.0000 0.0702 1
Zn1 0.1025 0.5000 0.5390 1
Zn2 0.1103 0.5000 0.2027 1
Cu1 0.1065 0.5000 0.8760 1
O1 0.0248 0.5000 0.8503 1
O2 0.0810 0.0000 0.5940 1
O3 0.0880 0.5000 0.3645 1
O4 0.0938 0.0000 0.1406 1
O5 0.1905 0.5000 0.9015 1
O6 0.1972 0.5000 0.5701 1
O7 0.2030 0.5000 0.2311 1
```

Most intense lines, 2θ = 15–90°, by intensity:
34.02°, I = 100, hkl 1 1 -3
31.78°, I = 77, hkl 5 1 0
30.64°, I = 45, hkl 4 0 3
31.30°, I = 37, hkl 6 0 -3
40.77°, I = 28, hkl 10 0 0
50.00°, I = 21, hkl 0 2 0
53.69°, I = 20, hkl 9 1 3
47.74°, I = 17, hkl 2 0 -6
54.53°, I = 16, hkl 11 1 -3
58.10°, I = 15, hkl 3 1 6
59.78°, I = 14, hkl 4 2 3
58.90°, I = 12, hkl 7 1 -6

Diffraction record for HfB6. The powder XRD pattern is theoretical, not measured: it uses DFT lattice parameters and positions (PBE) and Cu Kα.
Intensities are scaled so that the largest is 100.

Structure:
```
data_HfB6
_cell_length_a 4.0362
_cell_length_b 4.0362
_cell_length_c 4.0362
_cell_angle_alpha 90.00
_cell_angle_beta 90.00
_cell_angle_gamma 90.00
_space_group_name_H-M_alt 'P m -3 m'
_space_group_IT_number 221
_space_group_name_Hall '-P 4 2 3'
loop_
_atom_site_label
_atom_site_fract_x
_atom_site_fract_y
_atom_site_fract_z
_atom_site_occupancy
Hf1 0.0000 0.0000 0.0000 1
B1 0.1968 0.5000 0.5000 1
```

Most intense lines, 2θ = 15–90°, by intensity:
31.34°, I = 100, hkl 1 1 0
22.02°, I = 74, hkl 1 0 0
50.57°, I = 51, hkl 2 1 0
38.64°, I = 42, hkl 1 1 1
55.79°, I = 30, hkl 2 1 1
69.92°, I = 28, hkl 2 2 1
44.92°, I = 21, hkl 2 0 0
74.31°, I = 20, hkl 3 1 0
78.62°, I = 13, hkl 3 1 1
65.40°, I = 11, hkl 2 2 0
87.05°, I = 9, hkl 3 2 0
82.85°, I = 3, hkl 2 2 2